(1)
Structure and calculated powder diffractogram of MgH6S2O3 (the GGA-PBE geometry in the Materials Project; λ = 1.5418 Å (Cu Kα)).

Top 10 peaks for 10° ≤ 2θ ≤ 80°, in order of falling intensity:
2θ (°)	I/Imax
10.51	100
21.53	41
21.11	36
18.74	34
16.02	19
23.86	15
31.33	15
19.47	14
28.37	12
39.85	9

a b c (Å): 16.838 8.048 5.856
angles (deg): 90.00 90.00 90.00
Space group Pnma (No. 62)
Unique sites:
Mg (0.000, 0.000, 0.000) x4
H (0.173, 0.132, 0.158) x8
H (0.223, 0.038, 0.608) x8
H (0.244, 0.596, 0.144) x8
S (0.017, 0.750, 0.701) x4
S (0.191, 0.250, 0.005) x4
O (0.035, 0.093, 0.297) x8
O (0.044, 0.750, 0.967) x4

=====

(2)
Structure and calculated powder diffractogram of MgH12S2O12 (the GGA-PBE geometry in the Materials Project; λ = 1.5418 Å (Cu Kα)).

Top 10 peaks for 10° ≤ 2θ ≤ 80°, in order of falling intensity:
2θ (°)	I/Imax
18.27	100
14.74	85
23.70	39
15.10	29
11.93	27
24.62	18
35.91	18
18.41	16
28.75	16
39.36	15

a b c (Å): 7.635 7.773 7.812
angles (deg): 100.96 98.98 98.24
Space group P-1 (No. 2)
Unique sites:
Mg (0.000, 0.000, 0.000) x1
H (0.150, 0.069, 0.525) x2
H (0.157, 0.128, 0.460) x2
H (0.179, 0.643, 0.284) x2
H (0.292, 0.713, 0.156) x2
H (0.454, 0.086, 0.439) x2
H (0.483, 0.934, 0.740) x2
S (0.481, 0.541, 0.627) x2
O (0.108, 0.869, 0.805) x2
O (0.233, 0.603, 0.182) x2
O (0.259, 0.976, 0.086) x2
O (0.270, 0.887, 0.915) x2
O (0.294, 0.464, 0.641) x2
O (0.438, 0.897, 0.612) x2

=====

(3)
Structure and calculated powder diffractogram of MgH10SO9 (the GGA-PBE geometry in the Materials Project; λ = 1.5418 Å (Cu Kα)).

Top 10 peaks for 10° ≤ 2θ ≤ 80°, in order of falling intensity:
2θ (°)	I/Imax
17.95	100
17.16	54
24.03	53
15.24	52
29.34	47
27.19	47
32.91	42
30.42	41
25.35	33
15.88	26

a b c (Å): 6.119 6.324 10.641
angles (deg): 76.01 81.52 70.00
Space group P-1 (No. 2)
Unique sites:
Mg (0.000, 0.000, 0.000) x1
Mg (0.000, 0.500, 0.500) x1
H (0.092, 0.309, 0.110) x2
H (0.099, 0.163, 0.704) x2
H (0.183, 0.639, 0.871) x2
H (0.233, 0.779, 0.512) x2
H (0.265, 0.595, 0.647) x2
H (0.273, 0.106, 0.378) x2
H (0.276, 0.927, 0.298) x2
H (0.350, 0.146, 0.630) x2
H (0.360, 0.173, 0.878) x2
H (0.444, 0.898, 0.893) x2
S (0.340, 0.529, 0.213) x2
O (0.036, 0.745, 0.902) x2
O (0.159, 0.677, 0.577) x2
O (0.173, 0.766, 0.170) x2
O (0.180, 0.196, 0.619) x2
O (0.272, 0.438, 0.350) x2
O (0.313, 0.033, 0.910) x2
O (0.340, 0.373, 0.129) x2
O (0.341, 0.943, 0.373) x2
O (0.421, 0.451, 0.793) x2

=====

(4)
Structure and calculated powder diffractogram of MgH12SO9 (the GGA-PBE geometry in the Materials Project; λ = 1.5418 Å (Cu Kα)).

Top 10 peaks for 10° ≤ 2θ ≤ 80°, in order of falling intensity:
2θ (°)	I/Imax
11.70	100
19.87	65
11.48	59
12.06	51
21.35	25
20.51	23
25.45	15
23.08	15
31.21	13
22.18	12

a b c (Å): 5.379 8.518 8.880
angles (deg): 62.91 77.69 88.20
Space group P1 (No. 1)
Unique sites:
Mg (0.000, 0.000, 0.000) x1
H (0.017, 0.103, 0.218) x1
H (0.079, 0.902, 0.317) x1
H (0.100, 0.273, 0.299) x1
H (0.192, 0.296, 0.531) x1
H (0.220, 0.369, 0.097) x1
H (0.271, 0.626, 0.156) x1
H (0.301, 0.534, 0.519) x1
H (0.367, 0.516, 0.445) x1
H (0.396, 0.949, 0.506) x1
H (0.598, 0.893, 0.391) x1
H (0.849, 0.321, 0.851) x1
H (0.919, 0.169, 0.718) x1
S (0.552, 0.816, 0.936) x1
O (0.075, 0.291, 0.184) x1
O (0.157, 0.201, 0.502) x1
O (0.349, 0.937, 0.953) x1
O (0.395, 0.617, 0.062) x1
O (0.421, 0.865, 0.459) x1
O (0.738, 0.820, 0.040) x1
O (0.937, 0.098, 0.645) x1
O (0.962, 0.236, 0.834) x1
O (0.968, 0.976, 0.242) x1